Entry 1:
The following is a computed powder XRD pattern of CsHo2As2Se6. It was derived from a crystal structure in Alexandria, relaxed with GGA-PBE, using Cu Kα (weighted mean of Kα1 and Kα2).

Atomic structure:
a = 7.727 Å, b = 7.999 Å, c = 8.387 Å
α = 92.27°, β = 115.77°, γ = 117.23°
Element x y z (fractional)
Cs 0.000 0.000 0.000
Ho 0.374 0.679 0.028
Ho 0.626 0.321 0.972
As 0.007 0.656 0.452
As 0.993 0.344 0.548
Se 0.083 0.622 0.192
Se 0.293 0.915 0.793
Se 0.420 0.511 0.752
Se 0.580 0.489 0.248
Se 0.707 0.085 0.207
Se 0.917 0.378 0.808

Principal peaks in the range 10 to 90 degrees two-theta, in order of rising 2θ:
Position (°2θ)	I (rel.)
12.28	100.0
13.04	30.5
13.71	71.1
23.05	30.1
24.64	33.9
25.45	88.0
26.62	37.2
32.52	34.8
33.38	35.4
34.71	38.6

Entry 2:
The following is a computed powder XRD pattern of LaHoAg3. It was derived from a crystal structure in Alexandria, relaxed with GGA-PBE, using Cu Kα (weighted mean of Kα1 and Kα2).

Atomic structure:
a = 14.186 Å, b = 14.186 Å, c = 4.834 Å
α = 90.00°, β = 90.00°, γ = 165.25°
Element x y z (fractional)
La 0.076 0.924 0.750
La 0.924 0.076 0.250
Ho 0.210 0.790 0.250
Ho 0.790 0.210 0.750
Ag 0.319 0.681 0.250
Ag 0.376 0.624 0.750
Ag 0.475 0.525 0.750
Ag 0.525 0.475 0.250
Ag 0.624 0.376 0.250
Ag 0.681 0.319 0.750

Principal peaks in the range 10 to 90 degrees two-theta, in order of rising 2θ:
Position (°2θ)	I (rel.)
32.22	100.0
33.19	45.3
36.97	62.8
37.20	39.8
42.44	16.1
50.08	16.7
50.70	27.1
63.85	24.2
63.98	29.0
66.92	10.5

Entry 3:
The following is a computed powder XRD pattern of Ca3Fe2N4. It was derived from a crystal structure in Alexandria, relaxed with GGA-PBE, using Cu Kα (weighted mean of Kα1 and Kα2).

Atomic structure:
a = 6.378 Å, b = 6.378 Å, c = 6.378 Å
α = 135.16°, β = 74.02°, γ = 124.48°
Element x y z (fractional)
Ca 0.000 0.000 0.000
Ca 0.051 0.739 0.312
Ca 0.427 0.739 0.688
Fe 0.603 0.218 0.384
Fe 0.834 0.218 0.616
N 0.376 0.157 0.219
N 0.500 0.000 0.500
N 0.937 0.157 0.781
N 0.955 0.455 0.500

Principal peaks in the range 10 to 90 degrees two-theta, in order of rising 2θ:
Position (°2θ)	I (rel.)
17.28	52.2
20.23	100.0
23.64	61.5
30.09	41.5
32.15	60.3
34.97	37.1
36.53	69.1
36.96	85.8
47.16	39.8
61.38	33.0